No. 1
Starting from a cell relaxed with PBE, the powder XRD pattern of ZrTlTe3Au was calculated for copper Kα.
Peak positions follow from Bragg's law for the DFT cell and can differ from measured ones.

Largest 12 diffraction maxima, by angle, 10 to 90 degrees two-theta:
2θ = 11.38°, I = 37, (1 0 -1); 2θ = 26.49°, I = 48, (2 0 1); 2θ = 27.61°, I = 81, (1 1 -2); 2θ = 29.87°, I = 100, (2 1 -1); 2θ = 30.87°, I = 49, (2 1 0); 2θ = 33.15°, I = 65, (1 1 -3); 2θ = 34.32°, I = 75, (2 1 1); 2θ = 34.47°, I = 46, (0 1 3); 2θ = 38.11°, I = 30, (3 1 -1); 2θ = 41.28°, I = 69, (1 0 4); 2θ = 43.34°, I = 28, (4 0 -3); 2θ = 43.64°, I = 57, (0 2 0)

Structural model:
```
data_ZrTlTe3Au
_space_group_name_H-M_alt 'P 1 21/m 1'
_space_group_IT_number 11
_cell_length_a 8.6489
_cell_length_b 4.1478
_cell_length_c 10.7095
_cell_angle_alpha 90.00
_cell_angle_beta 110.61
_cell_angle_gamma 90.00
loop_
_space_group_symop_operation_xyz
'x,y,z'
'-x,-y,-z'
'-x,y+1/2,-z'
'x,-y+1/2,z'
loop_
_atom_site_label
_atom_site_fract_x
_atom_site_fract_y
_atom_site_fract_z
_atom_site_occupancy
Zr1 0.2111 0.2500 0.1768 1
Tl1 0.2234 0.7500 0.7119 1
Te1 0.0523 0.2500 0.8776 1
Te2 0.2267 0.2500 0.4471 1
Te3 0.4298 0.7500 0.1367 1
Au1 0.4203 0.7500 0.3902 1
```

No. 2
Starting from a cell relaxed with PBE, the powder XRD pattern of ThWAu was calculated for copper Kα.
Peak positions follow from Bragg's law for the DFT cell and can differ from measured ones.

Largest 12 diffraction maxima, by angle, 10 to 90 degrees two-theta:
2θ = 23.23°, I = 22, (1 1 1); 2θ = 26.89°, I = 20, (2 0 0); 2θ = 38.39°, I = 100, (2 2 0); 2θ = 45.35°, I = 12, (3 1 1); 2θ = 47.49°, I = 6, (2 2 2); 2θ = 55.41°, I = 18, (4 0 0); 2θ = 60.88°, I = 5, (3 3 1); 2θ = 62.64°, I = 8, (4 2 0); 2θ = 69.42°, I = 36, (4 2 2); 2θ = 82.22°, I = 12, (4 4 0); 2θ = 86.89°, I = 4, (5 3 1); 2θ = 88.44°, I = 4, (6 0 0)

Structural model:
```
data_ThWAu
_space_group_name_H-M_alt 'F -4 3 m'
_space_group_IT_number 216
_space_group_name_Hall 'F -4 2 3'
_cell_length_a 6.6323
_cell_length_b 6.6323
_cell_length_c 6.6323
_cell_angle_alpha 90.00
_cell_angle_beta 90.00
_cell_angle_gamma 90.00
loop_
_atom_site_label
_atom_site_fract_x
_atom_site_fract_y
_atom_site_fract_z
_atom_site_occupancy
Th1 0.0000 0.0000 0.0000 1
W1 0.2500 0.2500 0.2500 1
Au1 0.0000 0.0000 0.5000 1
```